No. 1
BaEu2Mn2O7: computed powder X-ray diffraction pattern (Cu Kα), based on the PBE+U geometry in Alexandria.

```
BaEu2Mn2O7
1.0
-1.9834 1.9834 10.0151
1.9834 -1.9834 10.0151
1.9834 1.9834 -10.0151
Ba Eu Mn O
1 2 2 7
Direct
0.0000 0.0000 0.0000 Ba
0.1830 0.1830 0.0000 Eu
0.8169 0.8169 0.0000 Eu
0.3988 0.3988 0.0000 Mn
0.6012 0.6012 0.0000 Mn
0.1063 0.6063 0.5000 O
0.2988 0.2988 0.0000 O
0.3937 0.8937 0.5000 O
0.5000 0.5000 0.0000 O
0.6063 0.1063 0.5000 O
0.7012 0.7012 0.0000 O
0.8937 0.3937 0.5000 O
```

Principal peaks in the range 15 to 90 degrees two-theta, in order of falling intensity:
Position (°2θ)	d (Å)	I/Imax
31.75	2.819	100
31.91	2.805	67
56.75	1.622	39
45.75	1.983	37
42.07	2.148	28
22.85	3.891	20
75.80	1.255	19
26.70	3.338	14
56.45	1.630	13
66.32	1.409	12

No. 2
BaEu2Mn2O7: computed powder X-ray diffraction pattern (Cu Kα), based on the PBE+U geometry in Alexandria.

```
BaEu2Mn2O7
1.0
9.9650 -2.8238 0.0000
9.9650 2.8238 0.0000
0.0000 0.0000 5.6184
Ba Eu Mn O
2 4 4 14
Direct
0.2482 0.7518 0.7500 Ba
0.7518 0.2482 0.2500 Ba
0.0529 0.5816 0.7500 Eu
0.4184 0.9471 0.7500 Eu
0.5816 0.0529 0.2500 Eu
0.9471 0.4184 0.2500 Eu
0.1498 0.6472 0.2500 Mn
0.3528 0.8502 0.2500 Mn
0.6472 0.1498 0.7500 Mn
0.8502 0.3528 0.7500 Mn
0.0171 0.5801 0.2500 O
0.1025 0.1025 0.0000 O
0.1025 0.1025 0.5000 O
0.2649 0.7351 0.2500 O
0.3893 0.3893 0.0000 O
0.3893 0.3893 0.5000 O
0.4199 0.9829 0.2500 O
0.5801 0.0171 0.7500 O
0.6107 0.6107 0.0000 O
0.6107 0.6107 0.5000 O
0.7351 0.2649 0.7500 O
0.8975 0.8975 0.0000 O
0.8975 0.8975 0.5000 O
0.9829 0.4199 0.7500 O
```

Principal peaks in the range 15 to 90 degrees two-theta, in order of falling intensity:
Position (°2θ)	d (Å)	I/Imax
31.74	2.819	100
45.54	1.992	35
31.86	2.809	26
56.68	1.624	19
56.49	1.629	19
22.77	3.906	15
42.13	2.145	11
41.99	2.151	11
26.84	3.322	11
66.36	1.409	9

No. 3
BaNaEuWO6: computed powder X-ray diffraction pattern (Cu Kα), based on the PBE+U geometry in Alexandria.

```
BaNaEuWO6
1.0
0.0000 4.2553 4.2553
4.2553 0.0000 4.2553
4.2553 4.2553 0.0000
Ba Na Eu W O
1 1 1 1 6
Direct
0.0000 0.0000 0.0000 Ba
0.5000 0.5000 0.5000 Na
0.2500 0.2500 0.2500 Eu
0.7500 0.7500 0.7500 W
0.5204 0.5204 0.9796 O
0.5204 0.9796 0.5204 O
0.5204 0.9796 0.9796 O
0.9796 0.5204 0.5204 O
0.9796 0.5204 0.9796 O
0.9796 0.9796 0.5204 O
```

Principal peaks in the range 15 to 90 degrees two-theta, in order of falling intensity:
Position (°2θ)	d (Å)	I/Imax
29.69	3.009	100
52.69	1.737	41
42.49	2.128	30
20.88	4.255	26
85.35	1.137	22
61.65	1.504	19
69.91	1.346	18
18.05	4.914	14
47.79	1.903	11
34.97	2.566	7

> Which formula does entry 1 have?

BaEu2Mn2O7